1.
Structure and calculated powder XRD pattern of LaTiZnFeO6 (a structure optimized by DFT (PBE+U); Cu Kα (λ = 1.5418 Å)).
Neutral-atom scattering factors, no anomalous dispersion.

Structure:
Unit cell a=5.4017 b=5.7170 c=9.4141 alpha=90.00 beta=124.86 gamma=90.00
Space group Pc (No. 7)
Inequivalent atoms, fractional coordinates:
La 0.0000 0.1962 0.0000 x2
Ti 0.2604 0.2837 0.7494 x2
Zn 0.5006 0.1632 0.5003 x2
Fe 0.7623 0.2669 0.2536 x2
O 0.0171 0.4636 0.2043 x2
O 0.1425 0.2243 0.5022 x2
O 0.4359 0.2470 0.9939 x2
O 0.5163 0.0587 0.3021 x2
O 0.5996 0.4501 0.7919 x2
O 0.9146 0.0560 0.6963 x2

Most intense lines, 15° ≤ 2θ ≤ 90°, sorted by position:
two_theta	d_spacing	I_rel	hkl
19.31	4.595	11.2	0 1 1
27.88	3.201	11.8	0 1 2
31.29	2.858	19.1	0 2 0
32.52	2.754	100.0	1 1 1
33.17	2.701	24.5	2 0 -2
35.53	2.527	18.0	1 2 -1
46.24	1.963	21.8	2 2 -2
47.05	1.931	16.6	0 0 4
58.75	1.572	17.7	3 1 -1
58.89	1.568	17.6	2 0 -6

***

2.
Structure and calculated powder XRD pattern of Li9Mn2Co5O16 (a structure optimized by DFT (PBE+U); Cu Kα (λ = 1.5418 Å)).
Neutral-atom scattering factors, no anomalous dispersion.

Structure:
Unit cell a=5.1465 b=7.6817 c=7.7619 alpha=93.77 beta=109.26 gamma=96.49
Space group P1 (No. 1)
Inequivalent atoms, fractional coordinates:
Li 0.0000 0.0000 0.0000 x1
Li 0.0640 0.6865 0.5616 x1
Li 0.1824 0.0534 0.6931 x1
Li 0.3144 0.4351 0.8170 x1
Li 0.4403 0.8175 0.9429 x1
Li 0.5794 0.1788 0.0646 x1
Li 0.6773 0.5549 0.1828 x1
Li 0.8210 0.9332 0.3074 x1
Li 0.9365 0.3050 0.4331 x1
Mn 0.5031 0.4935 0.4969 x1
Mn 0.7490 0.2447 0.7526 x1
Co 0.1274 0.3681 0.1237 x1
Co 0.2397 0.7501 0.2445 x1
Co 0.3758 0.1130 0.3616 x1
Co 0.6245 0.8733 0.6313 x1
Co 0.8773 0.6272 0.8778 x1
O 0.0020 0.1692 0.2181 x1
O 0.1182 0.2274 0.9018 x1
O 0.1328 0.5188 0.3453 x1
O 0.2406 0.9033 0.4703 x1
O 0.2594 0.5800 0.0370 x1
O 0.3769 0.2800 0.5863 x1
O 0.4201 0.9680 0.1730 x1
O 0.4754 0.6438 0.7043 x1
O 0.5382 0.3469 0.2972 x1
O 0.5954 0.0388 0.8320 x1
O 0.6323 0.7044 0.4103 x1
O 0.7161 0.4017 0.9474 x1
O 0.7779 0.0947 0.5503 x1
O 0.8683 0.7666 0.1034 x1
O 0.8731 0.4574 0.6538 x1
O 0.9993 0.8254 0.7778 x1

Most intense lines, 15° ≤ 2θ ≤ 90°, sorted by position:
two_theta	d_spacing	I_rel	hkl
18.33	4.841	100.0	1 0 -1
35.81	2.507	14.1	1 -1 2
36.02	2.494	13.0	0 2 2
36.30	2.475	12.9	0 3 -1
43.24	2.092	27.8	2 -1 1
43.63	2.075	27.0	-1 2 3
43.97	2.059	26.8	1 3 -2
47.60	1.910	8.9	2 2 0
62.90	1.477	14.6	3 2 -1
63.31	1.469	14.4	1 1 4